YH5Ru: theoretical powder XRD pattern (Cu Kα (weighted mean of Kα1 and Kα2)), based on the PBE geometry in Alexandria.
Neutral-atom scattering factors, no anomalous dispersion.

Structure:
```
YH5Ru
1.0
3.572 0.000 0.000
0.000 4.899 0.000
0.000 0.000 6.769
Y H Ru
2 10 2
Direct
0.000 0.000 0.000
0.500 0.500 0.500
0.000 0.258 0.333
0.000 0.258 0.667
0.000 0.500 0.000
0.000 0.742 0.333
0.000 0.742 0.667
0.500 0.000 0.500
0.500 0.242 0.167
0.500 0.242 0.833
0.500 0.758 0.167
0.500 0.758 0.833
0.000 0.000 0.500
0.500 0.500 0.000
```

The 10 most intense peaks (2θ = 10–90°), sorted by position:
d/Å  2θ/deg  I_rel
3.385  26.33  77
2.887  30.98  100
2.450  36.68  31
2.196  41.10  92
1.984  45.72  35
1.580  58.42  16
1.485  62.53  13
1.460  63.75  24
1.360  69.06  19
1.328  71.00  18